The following is a theoretical powder X-ray diffraction pattern of La7PrDy4. It was derived from DFT lattice parameters and positions (GGA-PBE), using Cu Kα X-rays.

Crystal structure
```
La7PrDy4
1.0
6.4398 0.0000 0.0000
0.0073 7.4014 0.0000
2.1389 -0.0020 8.8510
La Pr Dy
7 1 4
Cartesian
0.0000 0.0000 0.0000 La
2.1493 3.7045 2.9553 La
3.2320 1.8370 5.8789 La
3.2207 1.8132 0.0313 La
5.3654 5.5863 8.8197 La
5.3540 5.5625 2.9720 La
6.4367 3.6950 5.8956 La
0.0036 3.7007 0.0000 Pr
2.1258 0.0032 2.9729 Dy
3.2123 5.5931 5.9067 Dy
5.3737 1.8064 2.9443 Dy
6.4602 7.3962 5.8781 Dy
```

Main lines, low angle first (2θ = 10–80°):
hkl 1 2 0, 2θ = 27.96°, intensity 24
hkl 0 0 3, 2θ = 30.29°, intensity 50
hkl 2 0 2, 2θ = 30.92°, intensity 100
hkl 2 0 -1, 2θ = 32.55°, intensity 59
hkl 1 -2 2, 2θ = 32.62°, intensity 30
hkl 3 2 1, 2θ = 49.06°, intensity 26
hkl 2 0 5, 2θ = 53.14°, intensity 21
hkl 2 0 -4, 2θ = 56.33°, intensity 19
hkl 3 2 4, 2θ = 58.76°, intensity 31
hkl 0 4 3, 2θ = 58.92°, intensity 15